This entry pairs a crystal structure of Li3Ho3MoO8 with its computed powder diffractogram. Radiation: a wavelength of 1.5418 Å. Structure: a cell relaxed with GGA+U.
Lines closer than 0.1° are merged.

The 10 most intense peaks (2θ from 10° to 90°), by intensity:
h k l, two_theta, I (rel.)
2 0 -1, 17.8, 100
0 2 1, 31.8, 44
2 2 -2, 39.8, 39
2 2 0, 33.3, 27
2 0 1, 31.3, 23
4 0 0, 38.9, 21
4 2 -1, 43.4, 18
2 4 -1, 58.8, 16
2 2 2, 55.0, 15
0 0 2, 33.4, 14

Cell and atoms:
Cell lengths 10.773, 6.623, 6.229 Å; angles 90.00, 120.66, 90.00 degrees
Space group C2/m (No. 12)
Symmetry-distinct sites (fractional):
1 Li 0.000 0.000 0.000
2 Li 0.250 0.250 0.500
3 Ho 0.000 0.500 0.500
4 Ho 0.250 0.250 0.000
5 Mo 0.000 0.000 0.500
6 O 0.004 0.228 0.730
7 O 0.232 0.000 0.735
8 O 0.241 0.500 0.750